1.
This entry pairs a crystal structure of Ce5Th with its computed powder XRD pattern. Radiation: Cu Kα (λ = 1.5418 Å). Structure: the GGA-PBE geometry in Alexandria.
No peak broadening, texture or thermal motion is included.

Atomic structure:
```
Ce5Th
1.0
5.7925 0.0000 0.0000
-2.8962 5.0164 0.0000
0.0000 0.0000 5.7586
Ce Th
5 1
direct
0.0000 0.6628 0.0000 Ce
0.3333 0.6667 0.5000 Ce
0.3372 0.3372 0.0000 Ce
0.6628 0.0000 0.0000 Ce
0.6667 0.3333 0.5000 Ce
0.0000 0.0000 0.5000 Th
```

Top 8 peaks for 10° ≤ 2θ ≤ 80°, by intensity:
2theta	I_rel
34.67	1000
31.06	297
57.61	233
30.87	232
64.44	221
54.91	179
44.36	172
66.59	151



2.
This entry pairs a crystal structure of CsI5 with its computed powder XRD pattern. Radiation: Cu Kα (λ = 1.5418 Å). Structure: the GGA-PBE geometry in Alexandria.
No peak broadening, texture or thermal motion is included.

Atomic structure:
```
CsI5
1.0
6.2188 0.0000 0.0000
0.0000 17.6888 0.0000
-1.5598 0.0000 6.2721
Cs I
2 10
direct
0.0734 0.2500 0.0337 Cs
0.9266 0.7500 0.9663 Cs
0.1086 0.0357 0.8170 I
0.1086 0.4643 0.8170 I
0.3333 0.7500 0.5531 I
0.3873 0.1309 0.6426 I
0.3873 0.3691 0.6426 I
0.6127 0.6309 0.3574 I
0.6127 0.8691 0.3574 I
0.6667 0.2500 0.4469 I
0.8914 0.5357 0.1830 I
0.8914 0.9643 0.1830 I
```

Top 8 peaks for 10° ≤ 2θ ≤ 80°, by intensity:
2theta	I_rel
22.78	1000
30.98	689
20.68	633
39.24	482
24.96	475
21.06	344
30.50	336
30.24	311



3.
This entry pairs a crystal structure of Pm5NdDy2Th with its computed powder XRD pattern. Radiation: Cu Kα (λ = 1.5418 Å). Structure: the GGA-PBE geometry in Alexandria.
No peak broadening, texture or thermal motion is included.

Atomic structure:
```
Pm5NdDy2Th
1.0
2.8563 -10.2187 0.0000
2.8563 10.2187 0.0000
0.0000 0.0000 10.5599
Pm Nd Dy Th
10 2 4 2
direct
0.0159 0.9841 0.5000 Pm
0.2767 0.7233 0.7926 Pm
0.2942 0.7058 0.1830 Pm
0.3885 0.6115 0.5048 Pm
0.4776 0.5224 0.2186 Pm
0.5224 0.4776 0.7186 Pm
0.6115 0.3885 0.0048 Pm
0.7058 0.2942 0.6830 Pm
0.7233 0.2767 0.2926 Pm
0.9841 0.0159 0.0000 Pm
0.4105 0.5895 0.9258 Nd
0.5895 0.4105 0.4258 Nd
0.1138 0.8862 0.2112 Dy
0.1160 0.8840 0.7973 Dy
0.8840 0.1160 0.2973 Dy
0.8862 0.1138 0.7112 Dy
0.1994 0.8006 0.4910 Th
0.8006 0.1994 0.9910 Th
```

Top 8 peaks for 10° ≤ 2θ ≤ 80°, by intensity:
2theta	I_rel
31.81	1000
30.14	453
31.31	434
56.06	215
27.51	204
58.46	150
60.96	139
42.17	131



4.
This entry pairs a crystal structure of TeIrAu2 with its computed powder XRD pattern. Radiation: Cu Kα (λ = 1.5418 Å). Structure: the GGA-PBE geometry in Alexandria.
No peak broadening, texture or thermal motion is included.

Atomic structure:
```
TeIrAu2
1.0
5.5225 0.0000 0.0000
0.0000 5.5596 0.0000
0.0000 0.0000 10.2384
Te Ir Au
4 4 8
direct
0.0000 0.0000 0.0000 Te
0.0000 0.5000 0.5000 Te
0.5000 0.0000 0.5000 Te
0.5000 0.5000 0.0000 Te
0.0000 0.0000 0.5000 Ir
0.0000 0.5000 0.0000 Ir
0.5000 0.0000 0.0000 Ir
0.5000 0.5000 0.5000 Ir
0.0000 0.2500 0.2500 Au
0.0000 0.2500 0.7500 Au
0.0000 0.7500 0.2500 Au
0.0000 0.7500 0.7500 Au
0.5000 0.2500 0.2500 Au
0.5000 0.2500 0.7500 Au
0.5000 0.7500 0.2500 Au
0.5000 0.7500 0.7500 Au
```

Top 8 peaks for 10° ≤ 2θ ≤ 80°, by intensity:
2theta	I_rel
36.79	1000
49.84	850
32.42	699
35.06	569
48.50	460
73.62	270
79.79	220
64.03	201



5.
This entry pairs a crystal structure of Y3TaB7 with its computed powder XRD pattern. Radiation: Cu Kα (λ = 1.5418 Å). Structure: the GGA-PBE geometry in Alexandria.
No peak broadening, texture or thermal motion is included.

Atomic structure:
```
Y3TaB7
1.0
1.7569 -8.0427 0.0000
1.7569 8.0427 0.0000
0.0000 0.0000 9.5776
Y Ta B
6 2 14
direct
0.1077 0.8923 0.5595 Y
0.1077 0.8923 0.9405 Y
0.2449 0.7551 0.2500 Y
0.7551 0.2449 0.7500 Y
0.8923 0.1077 0.0595 Y
0.8923 0.1077 0.4405 Y
0.0533 0.9467 0.2500 Ta
0.9467 0.0533 0.7500 Ta
0.2734 0.7266 0.5326 B
0.2734 0.7266 0.9674 B
0.3649 0.6351 0.6453 B
0.3649 0.6351 0.8547 B
0.4552 0.5448 0.2500 B
0.4804 0.5196 0.5915 B
0.4804 0.5196 0.9085 B
0.5196 0.4804 0.0915 B
0.5196 0.4804 0.4085 B
0.5448 0.4552 0.7500 B
0.6351 0.3649 0.1453 B
0.6351 0.3649 0.3547 B
0.7266 0.2734 0.0326 B
0.7266 0.2734 0.4674 B
```

Top 8 peaks for 10° ≤ 2θ ≤ 80°, by intensity:
2theta	I_rel
25.96	1000
39.11	792
38.51	720
30.12	620
28.99	553
35.89	528
11.00	410
41.78	347



6.
This entry pairs a crystal structure of CaAlPd6 with its computed powder XRD pattern. Radiation: Cu Kα (λ = 1.5418 Å). Structure: the GGA-PBE geometry in Alexandria.
No peak broadening, texture or thermal motion is included.

Atomic structure:
```
CaAlPd6
1.0
4.0819 0.0000 0.0000
0.0000 4.0819 0.0000
0.0000 0.0000 8.8904
Ca Al Pd
1 1 6
direct
0.0000 0.0000 0.0000 Ca
0.0000 0.0000 0.5000 Al
0.0000 0.5000 0.3381 Pd
0.0000 0.5000 0.6619 Pd
0.5000 0.0000 0.3381 Pd
0.5000 0.0000 0.6619 Pd
0.5000 0.5000 0.1424 Pd
0.5000 0.5000 0.8576 Pd
```

Top 8 peaks for 10° ≤ 2θ ≤ 80°, by intensity:
2theta	I_rel
43.78	1000
32.62	877
44.39	662
64.58	210
37.14	199
23.99	196
37.50	183
21.77	182



7.
This entry pairs a crystal structure of Th4CuIrS2 with its computed powder XRD pattern. Radiation: Cu Kα (λ = 1.5418 Å). Structure: the GGA-PBE geometry in Alexandria.
No peak broadening, texture or thermal motion is included.

Atomic structure:
```
Th4CuIrS2
1.0
7.0442 0.0000 0.0000
0.0000 4.1021 0.0000
-2.3452 0.0000 6.9704
Th Cu Ir S
4 1 1 2
direct
0.2420 0.0000 0.2404 Th
0.2428 0.5000 0.7520 Th
0.7572 0.5000 0.2480 Th
0.7580 0.0000 0.7596 Th
0.5000 0.0000 0.0000 Cu
0.0000 0.5000 0.0000 Ir
0.0000 0.0000 0.5000 S
0.5000 0.5000 0.5000 S
```

Top 8 peaks for 10° ≤ 2θ ≤ 80°, by intensity:
2theta	I_rel
30.46	1000
43.03	586
30.61	494
44.46	357
26.55	301
25.55	200
54.68	196
71.19	196



8.
This entry pairs a crystal structure of Na2AcP2O7 with its computed powder XRD pattern. Radiation: Cu Kα (λ = 1.5418 Å). Structure: the GGA-PBE geometry in Alexandria.
No peak broadening, texture or thermal motion is included.

Atomic structure:
```
Na2AcP2O7
1.0
2.8261 1.6316 7.1224
-2.8261 1.6316 7.1224
0.0000 -3.2633 7.1224
Na Ac P O
2 1 2 7
direct
0.2131 0.2131 0.2131 Na
0.7869 0.7869 0.7869 Na
0.0000 0.0000 0.0000 Ac
0.4245 0.4245 0.4245 P
0.5755 0.5755 0.5755 P
0.1531 0.3851 0.6761 O
0.3239 0.6149 0.8469 O
0.3851 0.6761 0.1531 O
0.5000 0.5000 0.5000 O
0.6149 0.8469 0.3239 O
0.6761 0.1531 0.3851 O
0.8469 0.3239 0.6149 O
```

Top 8 peaks for 10° ≤ 2θ ≤ 80°, by intensity:
2theta	I_rel
19.95	1000
27.71	766
31.66	531
12.43	512
24.67	479
18.60	312
50.19	256
40.76	238



9.
This entry pairs a crystal structure of Ta2Pd3 with its computed powder XRD pattern. Radiation: Cu Kα (λ = 1.5418 Å). Structure: the GGA-PBE geometry in Alexandria.
No peak broadening, texture or thermal motion is included.

Atomic structure:
```
Ta2Pd3
1.0
2.8491 0.0000 0.0000
0.0000 2.8491 0.0000
0.0000 0.0000 20.0035
Ta Pd
4 6
direct
0.0000 0.0000 0.1022 Ta
0.0000 0.0000 0.8978 Ta
0.5000 0.5000 0.3978 Ta
0.5000 0.5000 0.6022 Ta
0.0000 0.0000 0.3017 Pd
0.0000 0.0000 0.5000 Pd
0.0000 0.0000 0.6983 Pd
0.5000 0.5000 0.0000 Pd
0.5000 0.5000 0.1983 Pd
0.5000 0.5000 0.8017 Pd
```

Top 8 peaks for 10° ≤ 2θ ≤ 80°, by intensity:
2theta	I_rel
38.80	1000
45.00	330
78.84	251
65.79	208
45.34	159
79.33	120
65.53	107
17.74	64



10.
This entry pairs a crystal structure of PmMgZnPb with its computed powder XRD pattern. Radiation: Cu Kα (λ = 1.5418 Å). Structure: the GGA-PBE geometry in Alexandria.
No peak broadening, texture or thermal motion is included.

Atomic structure:
```
PmMgZnPb
1.0
4.4187 0.0000 0.0000
0.0000 4.6835 0.0000
0.0000 0.0000 4.7374
Pm Mg Zn Pb
1 1 1 1
direct
0.0000 0.0000 0.0000 Pm
0.0000 0.5000 0.5000 Mg
0.5000 0.0000 0.5000 Zn
0.5000 0.5000 0.0000 Pb
```

Top 8 peaks for 10° ≤ 2θ ≤ 80°, by intensity:
2theta	I_rel
33.70	1000
18.73	330
27.76	261
37.99	181
38.44	175
66.52	164
40.84	148
65.90	144



11.
This entry pairs a crystal structure of SrSmTi4O12 with its computed powder XRD pattern. Radiation: Cu Kα (λ = 1.5418 Å). Structure: the GGA-PBE geometry in Alexandria.
No peak broadening, texture or thermal motion is included.

Atomic structure:
```
SrSmTi4O12
1.0
5.4954 0.0000 0.0000
0.0000 5.4954 0.0000
0.0000 0.0000 7.7664
Sr Sm Ti O
1 1 4 12
direct
0.0000 0.0000 0.0000 Sr
0.5000 0.5000 0.5000 Sm
0.0000 0.5000 0.2489 Ti
0.0000 0.5000 0.7511 Ti
0.5000 0.0000 0.2489 Ti
0.5000 0.0000 0.7511 Ti
0.0000 0.5000 0.0000 O
0.0000 0.5000 0.5000 O
0.2556 0.2556 0.2614 O
0.2556 0.2556 0.7386 O
0.2556 0.7444 0.2614 O
0.2556 0.7444 0.7386 O
0.5000 0.0000 0.0000 O
0.5000 0.0000 0.5000 O
0.7444 0.2556 0.2614 O
0.7444 0.2556 0.7386 O
0.7444 0.7444 0.2614 O
0.7444 0.7444 0.7386 O
```

Top 8 peaks for 10° ≤ 2θ ≤ 80°, by intensity:
2theta	I_rel
19.79	1000
32.60	989
38.42	547
46.77	496
58.17	379
68.29	274
51.25	239
62.07	181



12.
This entry pairs a crystal structure of SrCu6 with its computed powder XRD pattern. Radiation: Cu Kα (λ = 1.5418 Å). Structure: the GGA-PBE geometry in Alexandria.
No peak broadening, texture or thermal motion is included.

Atomic structure:
```
SrCu6
1.0
8.2010 0.0000 0.0000
0.0000 5.1554 0.0000
0.0000 0.0000 10.3008
Sr Cu
4 24
direct
0.2375 0.2500 0.0619 Sr
0.2625 0.7500 0.5619 Sr
0.7375 0.2500 0.4381 Sr
0.7625 0.7500 0.9381 Sr
0.0653 0.0044 0.3103 Cu
0.0653 0.4956 0.3103 Cu
0.0671 0.7500 0.1024 Cu
0.1000 0.2500 0.5167 Cu
0.1524 0.7500 0.8594 Cu
0.1813 0.2500 0.7532 Cu
0.3187 0.7500 0.2532 Cu
0.3476 0.2500 0.3594 Cu
0.4000 0.7500 0.0167 Cu
0.4329 0.2500 0.6024 Cu
0.4347 0.5044 0.8103 Cu
0.4347 0.9956 0.8103 Cu
0.5653 0.0044 0.1897 Cu
0.5653 0.4956 0.1897 Cu
0.5671 0.7500 0.3976 Cu
0.6000 0.2500 0.9833 Cu
0.6524 0.7500 0.6406 Cu
0.6813 0.2500 0.7468 Cu
0.8187 0.7500 0.2468 Cu
0.8476 0.2500 0.1406 Cu
0.9000 0.7500 0.4833 Cu
0.9329 0.2500 0.8976 Cu
0.9347 0.5044 0.6897 Cu
0.9347 0.9956 0.6897 Cu
```

Top 8 peaks for 10° ≤ 2θ ≤ 80°, by intensity:
2theta	I_rel
45.12	1000
45.37	893
38.28	824
38.39	641
42.32	470
36.57	428
41.34	402
34.80	313